# AcTm2Pb3
Calculated X-ray powder pattern, Cu Kα X-rays. Input: a crystal structure in Alexandria, relaxed with PBE.
Peak positions follow from Bragg's law for the DFT cell and can differ from measured ones.

Most intense lines, 10 to 80 degrees two-theta, by angle:
Position (°2θ)	d [Å]	I/Imax	hkl
26.13	3.410	10	1 3 1
30.95	2.889	100	1 3 2
31.96	2.800	8	0 6 0
37.21	2.416	21	2 0 0
37.79	2.381	12	1 5 2
38.22	2.355	19	0 0 4
54.41	1.686	14	2 0 4
63.23	1.471	14	3 3 2
64.58	1.443	16	1 3 6
67.30	1.391	10	1 11 2

Atomic structure:
```
data_AcTm2Pb3
_cell_length_a 4.8321
_cell_length_b 16.8004
_cell_length_c 9.4197
_cell_angle_alpha 90.00
_cell_angle_beta 90.00
_cell_angle_gamma 90.00
_symmetry_space_group_name_H-M 'C m c m'
_symmetry_Int_Tables_number 63
_symmetry_space_group_name_Hall '-C 2c 2'
loop_
_atom_site_label
_atom_site_type_symbol
_atom_site_fract_x
_atom_site_fract_y
_atom_site_fract_z
Ac1 Ac 0.0000 0.2060 0.2500
Tm1 Tm 0.0000 0.0000 0.0000
Tm2 Tm 0.0000 0.4985 0.2500
Pb1 Pb 0.0000 0.1407 0.7500
Pb2 Pb 0.0000 0.3683 0.5094
```


# Sr3GaHg3
Calculated X-ray powder pattern, Cu Kα X-rays. Input: a crystal structure in Alexandria, relaxed with PBE.
Peak positions follow from Bragg's law for the DFT cell and can differ from measured ones.

Most intense lines, 10 to 80 degrees two-theta, by angle:
Position (°2θ)	d [Å]	I/Imax	hkl
20.62	4.308	61	1 1 0
28.72	3.108	95	1 1 -4
29.52	3.026	39	3 1 -1
29.82	2.996	40	4 0 -2
33.09	2.707	53	3 1 -4
34.10	2.629	41	0 0 6
34.96	2.566	35	4 0 -5
35.25	2.546	100	3 1 2
38.66	2.329	55	0 2 0
42.44	2.130	31	1 1 6

Atomic structure:
```
data_Sr3GaHg3
_cell_length_a 11.9910
_cell_length_b 4.6579
_cell_length_c 16.6944
_cell_angle_alpha 90.00
_cell_angle_beta 109.11
_cell_angle_gamma 90.00
_symmetry_space_group_name_H-M 'C 1 2/m 1'
_symmetry_Int_Tables_number 12
loop_
_symmetry_equiv_pos_as_xyz
'x,y,z'
'-x,-y,-z'
'-x,y,-z'
'x,-y,z'
'x+1/2,y+1/2,z'
'-x+1/2,-y+1/2,-z'
'-x+1/2,y+1/2,-z'
'x+1/2,-y+1/2,z'
loop_
_atom_site_label
_atom_site_type_symbol
_atom_site_fract_x
_atom_site_fract_y
_atom_site_fract_z
Sr1 Sr 0.0365 0.0000 0.3934
Sr2 Sr 0.1011 0.0000 0.9187
Sr3 Sr 0.2491 0.0000 0.2375
Ga1 Ga 0.2413 0.5000 0.3949
Hg1 Hg 0.0347 0.5000 0.2395
Hg2 Hg 0.1167 0.5000 0.0790
Hg3 Hg 0.1419 0.5000 0.5457
```


# Th2CoP4Ir3
Calculated X-ray powder pattern, Cu Kα X-rays. Input: a crystal structure in Alexandria, relaxed with PBE.
Peak positions follow from Bragg's law for the DFT cell and can differ from measured ones.

Most intense lines, 10 to 80 degrees two-theta, by angle:
Position (°2θ)	d [Å]	I/Imax	hkl
28.44	3.138	22	0 0 3
30.01	2.977	22	1 1 0
31.51	2.839	22	1 1 1
35.68	2.516	100	1 0 3
42.96	2.105	37	2 0 0
53.29	1.719	12	1 0 5
57.04	1.615	30	2 1 3
62.38	1.489	12	2 2 0
70.76	1.332	15	2 1 5
73.98	1.281	18	3 0 3

Atomic structure:
```
data_Th2CoP4Ir3
_cell_length_a 4.2106
_cell_length_b 4.2106
_cell_length_c 9.4157
_cell_angle_alpha 90.00
_cell_angle_beta 90.00
_cell_angle_gamma 90.00
_symmetry_space_group_name_H-M 'P -4 m 2'
_symmetry_Int_Tables_number 115
loop_
_symmetry_equiv_pos_as_xyz
'x,y,z'
'y,-x,-z'
'-x,-y,z'
'-y,x,-z'
'-x,y,z'
'-y,-x,-z'
'x,-y,z'
'y,x,-z'
loop_
_atom_site_label
_atom_site_type_symbol
_atom_site_fract_x
_atom_site_fract_y
_atom_site_fract_z
Th1 Th 0.0000 0.5000 0.2502
Co1 Co 0.0000 0.0000 0.5000
P1 P 0.0000 0.0000 0.0000
P2 P 0.0000 0.5000 0.6304
P3 P 0.5000 0.5000 0.0000
Ir1 Ir 0.0000 0.5000 0.8869
Ir2 Ir 0.5000 0.5000 0.5000
```


# CaTb2Pr5
Calculated X-ray powder pattern, Cu Kα X-rays. Input: a crystal structure in Alexandria, relaxed with PBE.
Peak positions follow from Bragg's law for the DFT cell and can differ from measured ones.

Most intense lines, 10 to 80 degrees two-theta, by angle:
Position (°2θ)	d [Å]	I/Imax	hkl
28.08	3.178	27	0 3 3
29.21	3.057	100	2 0 0
31.02	2.883	54	1 0 5
33.04	2.712	18	2 2 0
34.49	2.600	23	2 1 3
34.66	2.588	29	1 2 5
37.78	2.381	19	1 4 3
44.19	2.049	21	2 4 2
51.84	1.764	30	3 3 2
54.74	1.677	25	2 3 7

Atomic structure:
```
data_CaTb2Pr5
_cell_length_a 6.1148
_cell_length_b 11.7378
_cell_length_c 16.3478
_cell_angle_alpha 90.00
_cell_angle_beta 90.00
_cell_angle_gamma 90.00
_symmetry_space_group_name_H-M 'I m m a'
_symmetry_Int_Tables_number 74
_symmetry_space_group_name_Hall '-I 2b 2'
loop_
_atom_site_label
_atom_site_type_symbol
_atom_site_fract_x
_atom_site_fract_y
_atom_site_fract_z
Ca1 Ca 0.0000 0.2500 0.0953
Tb1 Tb 0.0000 0.0000 0.5000
Tb2 Tb 0.2500 0.2500 0.7500
Pr1 Pr 0.0000 0.0640 0.8939
Pr2 Pr 0.0000 0.0809 0.3046
Pr3 Pr 0.0000 0.2500 0.5506
```